# LiTiFe5O8
Simulated powder diffraction line list, λ = 1.5418 Å (Cu Kα). Input: a cell relaxed with GGA+U.
Intensities are scaled so that the largest is 100.

Main lines, by intensity (15 to 90 degrees two-theta):
| d (Å) | 2theta | I_rel |
| --- | --- | --- |
| 2.558 | 35.08 | 100 |
| 2.613 | 34.32 | 87 |
| 1.999 | 45.36 | 69 |
| 2.625 | 34.15 | 60 |
| 3.999 | 22.23 | 50 |
| 2.796 | 32.01 | 48 |
| 1.702 | 53.87 | 47 |
| 4.736 | 18.74 | 44 |

Cell and atoms:
Cell lengths 5.919, 5.992, 6.075 Å; angles 61.12, 69.19, 61.18 degrees
Fractional coordinates of all 15 atoms:
Li 0.000 0.000 0.000
Ti 0.000 0.500 0.000
Fe 0.000 0.000 0.500
Fe 0.000 0.500 0.500
Fe 0.468 0.802 0.949
Fe 0.500 0.500 0.500
Fe 0.532 0.198 0.051
O 0.196 0.261 0.290
O 0.227 0.748 0.283
O 0.253 0.692 0.834
O 0.259 0.226 0.835
O 0.741 0.774 0.165
O 0.747 0.308 0.166
O 0.773 0.252 0.717
O 0.804 0.739 0.710